# KTbP4O12
Theoretical powder X-ray diffraction pattern, Cu Kα. Input: DFT lattice parameters and positions (GGA-PBE).
Kinematic intensities with the Lorentz-polarization factor, no thermal factor.

Largest 10 diffraction maxima, sorted by position, 2θ = 10–90°:
15.3°, d 5.798, I 100, (0 1 1)
16.0°, d 5.546, I 75, (1 1 0)
16.2°, d 5.477, I 50, (1 0 -1)
16.6°, d 5.336, I 63, (1 0 1)
26.7°, d 3.345, I 93, (1 2 -1)
26.9°, d 3.312, I 76, (1 2 1)
27.3°, d 3.268, I 51, (1 1 -2)
28.5°, d 3.132, I 73, (2 1 -1)
29.0°, d 3.079, I 63, (2 1 1)
42.8°, d 2.112, I 34, (2 1 -3)

Structure:
```
KTbP4O12
1.0
7.3555 0.0000 0.0000
0.0000 8.4478 0.0000
-0.2087 0.0000 7.9725
K Tb P O
2 2 8 24
Direct
0.2328 0.0000 0.2833 K
0.7672 0.5000 0.7167 K
0.2615 0.3117 0.7577 Tb
0.7385 0.8117 0.2423 Tb
0.0660 0.9379 0.9079 P
0.1134 0.5604 0.3975 P
0.4023 0.7308 0.9008 P
0.4952 0.4638 0.3818 P
0.5048 0.9638 0.6182 P
0.5977 0.2308 0.0992 P
0.8866 0.0604 0.6025 P
0.9340 0.4379 0.0921 P
0.0240 0.7146 0.3533 O
0.0351 0.4225 0.2738 O
0.0681 0.4080 0.9571 O
0.1082 0.5010 0.5742 O
0.1791 0.0845 0.9281 O
0.1922 0.7829 0.8925 O
0.3209 0.5733 0.3391 O
0.3397 0.0682 0.6171 O
0.4093 0.5676 0.8283 O
0.4649 0.3678 0.5372 O
0.4806 0.7618 0.0735 O
0.4902 0.3499 0.2209 O
0.5098 0.8499 0.7791 O
0.5194 0.2618 0.9265 O
0.5351 0.8678 0.4628 O
0.5907 0.0676 0.1717 O
0.6603 0.5682 0.3829 O
0.6791 0.0733 0.6609 O
0.8078 0.2829 0.1075 O
0.8209 0.5845 0.0719 O
0.8918 0.0010 0.4258 O
0.9319 0.9080 0.0429 O
0.9649 0.9225 0.7262 O
0.9760 0.2146 0.6467 O
```